Na3Mn2P2C2O14: computed X-ray powder pattern (Cu Kα), based on DFT lattice parameters and positions (PBE+U).
Neutral-atom scattering factors, no anomalous dispersion.

Largest 10 diffraction maxima, most intense first, 10 to 90 degrees two-theta:
2theta	I/Imax	(hkl)
27.14	100.0	2 0 0
25.64	85.8	0 2 -2
34.54	62.0	0 0 4
16.73	56.9	1 1 0
16.53	53.1	1 -1 0
21.81	50.3	1 0 2
33.79	47.6	0 3 -2
19.90	43.8	0 1 2
19.44	39.2	0 1 -2
33.60	38.9	2 1 -2

Atomic structure:
Lattice parameters (Å, degrees): 6.573 9.121 10.392 91.57 90.24 90.74
Positions (direct):
Na (0.007, 0.237, 0.135)
Na (0.040, 0.237, 0.629)
Na (0.486, 0.236, 0.123)
Na (0.514, 0.764, 0.877)
Na (0.960, 0.763, 0.371)
Na (0.993, 0.763, 0.865)
Mn (0.247, 0.654, 0.145)
Mn (0.260, 0.643, 0.640)
Mn (0.740, 0.357, 0.360)
Mn (0.753, 0.346, 0.855)
P (0.242, 0.431, 0.387)
P (0.251, 0.426, 0.899)
P (0.749, 0.574, 0.101)
P (0.758, 0.569, 0.613)
C (0.242, 0.920, 0.113)
C (0.250, 0.907, 0.608)
C (0.750, 0.093, 0.392)
C (0.758, 0.080, 0.887)
O (0.055, 0.333, 0.350)
O (0.070, 0.326, 0.856)
O (0.230, 0.463, 0.048)
O (0.230, 0.581, 0.321)
O (0.235, 0.040, 0.592)
O (0.241, 0.055, 0.099)
O (0.242, 0.461, 0.536)
O (0.243, 0.856, 0.224)
O (0.244, 0.822, 0.016)
O (0.251, 0.806, 0.515)
O (0.256, 0.572, 0.826)
O (0.264, 0.845, 0.723)
O (0.430, 0.344, 0.343)
O (0.444, 0.334, 0.879)
O (0.556, 0.666, 0.121)
O (0.570, 0.656, 0.657)
O (0.736, 0.155, 0.277)
O (0.744, 0.428, 0.174)
O (0.749, 0.194, 0.485)
O (0.756, 0.178, 0.984)
O (0.757, 0.144, 0.776)
O (0.758, 0.539, 0.464)
O (0.759, 0.945, 0.901)
O (0.765, 0.960, 0.408)
O (0.770, 0.419, 0.679)
O (0.770, 0.537, 0.952)
O (0.930, 0.674, 0.144)
O (0.945, 0.667, 0.650)